Starting from DFT lattice parameters and positions (GGA-PBE), the X-ray diffraction stick pattern of TbGaNO was calculated for copper Kα.
Kinematic intensities with the Lorentz-polarization factor, no thermal factor.

Crystal structure
abc: 7.052 7.276 4.356
angles: 90.00 90.00 90.00
Space group Cmmm (No. 65)
Inequivalent atoms, fractional coordinates:
1 Tb 0.000 0.235 0.000 [4 per cell]
2 Ga 0.223 0.500 0.500 [4 per cell]
3 N 0.238 0.000 0.000 [4 per cell]
4 O 0.000 0.316 0.500 [4 per cell]

Main lines, low angle first (2θ from 5° to 70°):
- 2θ 20.39, d 4.356, intensity 21
- 2θ 25.26, d 3.526, intensity 16
- 2θ 32.05, d 2.792, intensity 87
- 2θ 32.67, d 2.741, intensity 77
- 2θ 35.45, d 2.532, intensity 100
- 2θ 41.24, d 2.189, intensity 16
- 2θ 41.46, d 2.178, intensity 35
- 2θ 55.67, d 1.651, intensity 52
- 2θ 61.15, d 1.516, intensity 28
- 2θ 62.28, d 1.491, intensity 23

=====

Starting from DFT lattice parameters and positions (GGA-PBE), the X-ray diffraction stick pattern of Sc2CuB6 was calculated for copper Kα.
Kinematic intensities with the Lorentz-polarization factor, no thermal factor.

Crystal structure
abc: 8.860 11.178 3.421
angles: 90.00 90.00 90.00
Space group Pbam (No. 55)
Inequivalent atoms, fractional coordinates:
1 Sc 0.056 0.130 0.000 [4 per cell]
2 Sc 0.177 0.414 0.000 [4 per cell]
3 Cu 0.141 0.679 0.000 [4 per cell]
4 B 0.019 0.289 0.500 [4 per cell]
5 B 0.052 0.564 0.500 [4 per cell]
6 B 0.102 0.973 0.500 [4 per cell]
7 B 0.134 0.820 0.500 [4 per cell]
8 B 0.203 0.240 0.500 [4 per cell]
9 B 0.248 0.079 0.500 [4 per cell]

Main lines, low angle first (2θ from 5° to 70°):
- 2θ 26.05, d 3.421, intensity 67
- 2θ 31.34, d 2.854, intensity 58
- 2θ 33.63, d 2.665, intensity 36
- 2θ 34.34, d 2.611, intensity 22
- 2θ 41.20, d 2.191, intensity 100
- 2θ 41.73, d 2.165, intensity 35
- 2θ 43.02, d 2.102, intensity 58
- 2θ 43.61, d 2.076, intensity 38
- 2θ 47.43, d 1.917, intensity 33
- 2θ 53.58, d 1.710, intensity 30

=====

Starting from DFT lattice parameters and positions (GGA-PBE), the X-ray diffraction stick pattern of Tc2Sb was calculated for copper Kα.
Kinematic intensities with the Lorentz-polarization factor, no thermal factor.

Crystal structure
abc: 7.484 7.484 7.484
angles: 90.00 90.00 90.00
Space group Fd-3m (No. 227, origin choice 2)
Inequivalent atoms, fractional coordinates:
1 Tc 0.000 0.000 0.000 [16 per cell]
2 Sb 0.125 0.125 0.625 [8 per cell]

Main lines, low angle first (2θ from 5° to 70°):
- 2θ 20.55, d 4.321, intensity 1
- 2θ 33.88, d 2.646, intensity 33
- 2θ 39.95, d 2.257, intensity 100
- 2θ 41.81, d 2.161, intensity 34
- 2θ 48.66, d 1.871, intensity 3
- 2θ 60.61, d 1.528, intensity 12
- 2θ 64.72, d 1.440, intensity 31

=====

Starting from DFT lattice parameters and positions (GGA-PBE), the X-ray diffraction stick pattern of HfTe8Cl6 was calculated for copper Kα.
Kinematic intensities with the Lorentz-polarization factor, no thermal factor.

Crystal structure
abc: 7.113 8.858 16.943
angles: 103.87 99.36 93.97
Space group P-1 (No. 2)
Inequivalent atoms, fractional coordinates:
1 Hf 0.000 0.000 0.000 [1 per cell]
2 Hf 0.000 0.000 0.500 [1 per cell]
3 Te 0.204 0.449 0.225 [2 per cell]
4 Te 0.227 0.664 0.670 [2 per cell]
5 Te 0.277 0.705 0.162 [2 per cell]
6 Te 0.282 0.499 0.891 [2 per cell]
7 Te 0.339 0.246 0.771 [2 per cell]
8 Te 0.352 0.579 0.394 [2 per cell]
9 Te 0.450 0.725 0.824 [2 per cell]
10 Te 0.456 0.287 0.402 [2 per cell]
11 Cl 0.001 0.059 0.148 [2 per cell]
12 Cl 0.068 0.270 0.486 [2 per cell]
13 Cl 0.104 0.894 0.369 [2 per cell]
14 Cl 0.171 0.263 0.016 [2 per cell]
15 Cl 0.308 0.892 0.023 [2 per cell]
16 Cl 0.331 0.018 0.576 [2 per cell]

Main lines, low angle first (2θ from 5° to 70°):
- 2θ 10.36, d 8.542, intensity 54
- 2θ 16.91, d 5.242, intensity 100
- 2θ 17.30, d 5.126, intensity 78
- 2θ 20.90, d 4.251, intensity 49
- 2θ 23.15, d 3.841, intensity 62
- 2θ 25.90, d 3.441, intensity 70
- 2θ 27.49, d 3.245, intensity 73
- 2θ 31.92, d 2.804, intensity 53
- 2θ 42.12, d 2.146, intensity 78
- 2θ 43.15, d 2.097, intensity 50